Tm5C2S: calculated powder XRD pattern (Cu Kα, 1.54184 Å), based on the GGA-PBE geometry in OQMD.
Neutral-atom scattering factors, no anomalous dispersion.

Most intense lines, 5° ≤ 2θ ≤ 70°, by angle:
d_spacing  I/Imax
3.106  408
3.035  397
2.874  498
2.647  1000
2.170  293
1.793  362
1.619  252
1.544  295

a = 3.5863 Å, b = 3.5863 Å, c = 15.1711 Å
α = 90.00°, β = 90.00°, γ = 120.00°
Atoms (fractional coordinates):
Tm 0.0000 0.0000 0.0000
Tm 0.0000 0.0000 0.3778
Tm 0.0000 0.0000 0.6222
Tm 0.6667 0.3333 0.2047
Tm 0.6667 0.3333 0.7953
C 0.3333 0.6667 0.2890
C 0.3333 0.6667 0.7110
S 0.6667 0.3333 0.5000


Tm3ZrC2S2: calculated powder XRD pattern (Cu Kα, 1.54184 Å), based on the GGA-PBE geometry in OQMD.
Neutral-atom scattering factors, no anomalous dispersion.

Most intense lines, 5° ≤ 2θ ≤ 70°, by angle:
d_spacing  I/Imax
3.142  189
3.099  310
3.008  390
2.491  1000
2.206  150
1.789  292
1.554  323
1.453  184

a = 3.5779 Å, b = 3.5779 Å, c = 12.5666 Å
α = 90.00°, β = 90.00°, γ = 120.00°
Atoms (fractional coordinates):
Tm 0.0000 0.0000 0.0000
Tm 0.0000 0.0000 0.2949
Tm 0.3333 0.6667 0.7913
Zr 0.3333 0.6667 0.4982
C 0.6667 0.3333 0.4047
C 0.6667 0.3333 0.8941
S 0.0000 0.0000 0.6379
S 0.3333 0.6667 0.1488


TmScSbC: calculated powder XRD pattern (Cu Kα, 1.54184 Å), based on the GGA-PBE geometry in OQMD.
Neutral-atom scattering factors, no anomalous dispersion.

Most intense lines, 5° ≤ 2θ ≤ 70°, by angle:
d_spacing  I/Imax
7.345  228
3.035  226
2.972  158
2.579  1000
2.448  179
1.752  217
1.449  164
1.425  196

a = 3.5041 Å, b = 3.5041 Å, c = 14.6892 Å
α = 90.00°, β = 90.00°, γ = 120.00°
Atoms (fractional coordinates):
Tm 0.3333 0.6667 0.0000
Tm 0.6667 0.3333 0.5000
Sc 0.3333 0.6667 0.3304
Sc 0.6667 0.3333 0.8304
Sb 0.3333 0.6667 0.6698
Sb 0.6667 0.3333 0.1698
C 0.0000 0.0000 0.4104
C 0.0000 0.0000 0.9104


ZrSc3Sb2C2: calculated powder XRD pattern (Cu Kα, 1.54184 Å), based on the GGA-PBE geometry in OQMD.
Neutral-atom scattering factors, no anomalous dispersion.

Most intense lines, 5° ≤ 2θ ≤ 70°, by angle:
d_spacing  I/Imax
7.163  150
2.958  223
2.514  1000
2.388  174
1.858  156
1.708  211
1.413  153
1.389  179

a = 3.4152 Å, b = 3.4152 Å, c = 14.3253 Å
α = 90.00°, β = 90.00°, γ = 120.00°
Atoms (fractional coordinates):
Zr 0.0000 0.0000 0.0000
Sc 0.0000 0.0000 0.6689
Sc 0.3333 0.6667 0.1703
Sc 0.3333 0.6667 0.5023
Sb 0.0000 0.0000 0.3358
Sb 0.3333 0.6667 0.8362
C 0.6667 0.3333 0.0850
C 0.6667 0.3333 0.5860


TmZrSbC: calculated powder XRD pattern (Cu Kα, 1.54184 Å), based on the GGA-PBE geometry in OQMD.
Neutral-atom scattering factors, no anomalous dispersion.

Most intense lines, 5° ≤ 2θ ≤ 70°, by angle:
d_spacing  I/Imax
3.029  232
2.572  1000
2.434  178
1.897  146
1.749  219
1.446  165
1.430  153
1.420  196

a = 3.4971 Å, b = 3.4971 Å, c = 14.6038 Å
α = 90.00°, β = 90.00°, γ = 120.00°
Atoms (fractional coordinates):
Tm 0.3333 0.6667 0.0000
Tm 0.6667 0.3333 0.5000
Zr 0.3333 0.6667 0.3257
Zr 0.6667 0.3333 0.8257
Sb 0.3333 0.6667 0.6684
Sb 0.6667 0.3333 0.1684
C 0.0000 0.0000 0.4070
C 0.0000 0.0000 0.9070


TmZrSbC: calculated powder XRD pattern (Cu Kα, 1.54184 Å), based on the GGA-PBE geometry in OQMD.
Neutral-atom scattering factors, no anomalous dispersion.

Most intense lines, 5° ≤ 2θ ≤ 70°, by angle:
d_spacing  I/Imax
3.027  258
2.571  1000
2.435  173
1.897  160
1.748  216
1.445  165
1.430  149
1.420  191

a = 3.4956 Å, b = 3.4956 Å, c = 14.6078 Å
α = 90.00°, β = 90.00°, γ = 120.00°
Atoms (fractional coordinates):
Tm 0.0000 0.0000 0.1687
Tm 0.0000 0.0000 0.8313
Zr 0.6667 0.3333 0.3432
Zr 0.6667 0.3333 0.6568
Sb 0.0000 0.0000 0.5000
Sb 0.6667 0.3333 0.0000
C 0.3333 0.6667 0.2613
C 0.3333 0.6667 0.7387


SbW4C3: calculated powder XRD pattern (Cu Kα, 1.54184 Å), based on the GGA-PBE geometry in OQMD.
Neutral-atom scattering factors, no anomalous dispersion.

Most intense lines, 5° ≤ 2θ ≤ 70°, by angle:
d_spacing  I/Imax
2.735  327
2.682  249
2.496  841
2.379  963
2.363  568
2.257  1000
1.694  206
1.590  607

a = 3.1797 Å, b = 3.1797 Å, c = 23.6251 Å
α = 90.00°, β = 90.00°, γ = 120.00°
Atoms (fractional coordinates):
Sb 0.3333 0.6667 0.2500
Sb 0.6667 0.3333 0.7500
W 0.0000 0.0000 0.1497
W 0.0000 0.0000 0.3503
W 0.0000 0.0000 0.6497
W 0.0000 0.0000 0.8503
W 0.3333 0.6667 0.0558
W 0.3333 0.6667 0.4442
W 0.6667 0.3333 0.5558
W 0.6667 0.3333 0.9442
C 0.0000 0.0000 0.0000
C 0.0000 0.0000 0.5000
C 0.3333 0.6667 0.6086
C 0.3333 0.6667 0.8914
C 0.6667 0.3333 0.1086
C 0.6667 0.3333 0.3914


ZrScCSe: calculated powder XRD pattern (Cu Kα, 1.54184 Å), based on the GGA-PBE geometry in OQMD.
Neutral-atom scattering factors, no anomalous dispersion.

Most intense lines, 5° ≤ 2θ ≤ 70°, by angle:
d_spacing  I/Imax
12.530  120
4.177  47
3.020  294
2.447  1000
2.088  108
1.743  254
1.718  133
1.420  170

a = 3.4870 Å, b = 3.4870 Å, c = 12.5295 Å
α = 90.00°, β = 90.00°, γ = 120.00°
Atoms (fractional coordinates):
Zr 0.0000 0.0000 0.1566
Zr 0.0000 0.0000 0.8434
Sc 0.3333 0.6667 0.3516
Sc 0.3333 0.6667 0.6484
C 0.6667 0.3333 0.2502
C 0.6667 0.3333 0.7498
Se 0.0000 0.0000 0.5000
Se 0.3333 0.6667 0.0000